No. 1
Structure and computed PXRD pattern of La5PrZn (a cell relaxed with GGA-PBE; Cu Kα).
Neutral-atom scattering factors, no anomalous dispersion.

Structural model:
```
data_La5PrZn
_chemical_formula_sum 'La5 Pr1 Zn1'
_space_group_name_H-M_alt 'P 4/m m m'
_space_group_IT_number 123
_space_group_name_Hall '-P 4 2'
_cell_length_a 5.2398
_cell_length_b 5.2398
_cell_length_c 8.9379
_cell_angle_alpha 90.00
_cell_angle_beta 90.00
_cell_angle_gamma 90.00
loop_
_atom_site_label
_atom_site_fract_x
_atom_site_fract_y
_atom_site_fract_z
La1 0.0000 0.0000 0.0000
La2 0.0000 0.5000 0.2955
Pr1 0.5000 0.5000 0.0000
Zn1 0.5000 0.5000 0.5000
```

Most intense lines, 10° ≤ 2θ ≤ 90°, by intensity:
2theta, I (rel.)
31.4, 100
34.2, 49
26.0, 32
59.5, 32
46.1, 20
49.2, 17
30.0, 16
57.2, 15
78.7, 12
53.9, 11
58.7, 10
56.5, 8

---

No. 2
Structure and computed PXRD pattern of CrOs2Ru (a cell relaxed with GGA-PBE; Cu Kα).
Neutral-atom scattering factors, no anomalous dispersion.

Structural model:
```
data_CrOs2Ru
_chemical_formula_sum 'Cr2 Os4 Ru2'
_space_group_name_H-M_alt 'C 1 m 1'
_space_group_IT_number 8
_space_group_name_Hall 'C -2y'
_cell_length_a 8.9098
_cell_length_b 2.6946
_cell_length_c 4.6389
_cell_angle_alpha 90.00
_cell_angle_beta 100.20
_cell_angle_gamma 90.00
loop_
_atom_site_label
_atom_site_fract_x
_atom_site_fract_y
_atom_site_fract_z
Cr1 0.0000 0.0000 0.0000
Os1 0.0015 0.5000 0.5006
Os2 0.2527 0.0000 0.7480
Ru1 0.2492 0.5000 0.2382
```

Most intense lines, 10° ≤ 2θ ≤ 90°, by intensity:
2theta, I (rel.)
41.1, 100
47.8, 43
41.2, 33
48.1, 21
70.1, 20
19.4, 18
84.4, 17
84.6, 17
84.9, 16
70.2, 14
25.6, 10
34.8, 9

---

No. 3
Structure and computed PXRD pattern of TaZnH (a cell relaxed with GGA-PBE; Cu Kα).
Neutral-atom scattering factors, no anomalous dispersion.

Structural model:
```
data_TaZnH
_chemical_formula_sum 'Ta4 Zn4 H4'
_space_group_name_H-M_alt 'C 1 2 1'
_space_group_IT_number 5
_space_group_name_Hall 'C 2y'
_cell_length_a 9.6959
_cell_length_b 5.1823
_cell_length_c 3.0593
_cell_angle_alpha 90.00
_cell_angle_beta 108.36
_cell_angle_gamma 90.00
loop_
_atom_site_label
_atom_site_fract_x
_atom_site_fract_y
_atom_site_fract_z
Ta1 0.2310 0.0000 0.2324
Zn1 0.0000 0.2557 0.5000
Zn2 0.0000 0.7679 0.5000
H1 0.1658 0.6410 0.1653
```

Most intense lines, 10° ≤ 2θ ≤ 90°, by intensity:
2theta, I (rel.)
39.4, 100
39.9, 93
34.0, 82
19.3, 51
39.2, 43
52.8, 42
75.0, 29
41.7, 25
65.3, 21
61.7, 18
74.5, 17
69.8, 17

---

No. 4
Structure and computed PXRD pattern of Bi2PbBrN (a cell relaxed with GGA-PBE; Cu Kα).
Neutral-atom scattering factors, no anomalous dispersion.

Structural model:
```
data_Bi2PbBrN
_chemical_formula_sum 'Bi2 Pb1 Br1 N1'
_space_group_name_H-M_alt 'P 4/m m m'
_space_group_IT_number 123
_space_group_name_Hall '-P 4 2'
_cell_length_a 4.9374
_cell_length_b 4.9374
_cell_length_c 5.2705
_cell_angle_alpha 90.00
_cell_angle_beta 90.00
_cell_angle_gamma 90.00
loop_
_atom_site_label
_atom_site_fract_x
_atom_site_fract_y
_atom_site_fract_z
Bi1 0.0000 0.5000 0.0000
Pb1 0.0000 0.0000 0.5000
Br1 0.5000 0.5000 0.5000
N1 0.5000 0.5000 0.0000
```

Most intense lines, 10° ≤ 2θ ≤ 90°, by intensity:
2theta, I (rel.)
30.7, 100
36.4, 35
62.0, 28
50.7, 27
34.0, 21
58.8, 17
82.7, 14
64.0, 14
52.4, 12
83.1, 7
24.7, 7
87.2, 6

---

No. 5
Structure and computed PXRD pattern of La4Sm2Sb3N2 (a cell relaxed with GGA-PBE; Cu Kα).
Neutral-atom scattering factors, no anomalous dispersion.

Structural model:
```
data_La4Sm2Sb3N2
_chemical_formula_sum 'La8 Sm4 Sb6 N4'
_space_group_name_H-M_alt 'I 4/m m m'
_space_group_IT_number 139
_space_group_name_Hall '-I 4 2'
_cell_length_a 4.8479
_cell_length_b 4.8479
_cell_length_c 26.4493
_cell_angle_alpha 90.00
_cell_angle_beta 90.00
_cell_angle_gamma 90.00
loop_
_atom_site_label
_atom_site_fract_x
_atom_site_fract_y
_atom_site_fract_z
La1 0.0000 0.5000 0.0844
Sm1 0.0000 0.0000 0.1946
Sb1 0.0000 0.0000 0.3189
Sb2 0.0000 0.0000 0.5000
N1 0.0000 0.0000 0.1089
```

Most intense lines, 10° ≤ 2θ ≤ 90°, by intensity:
2theta, I (rel.)
33.1, 100
37.1, 55
26.9, 47
64.3, 29
29.3, 21
51.1, 19
53.5, 19
60.8, 16
27.0, 16
33.9, 16
46.5, 15
62.4, 12

---

No. 6
Structure and computed PXRD pattern of Cd3NiPt (a cell relaxed with GGA-PBE; Cu Kα).
Neutral-atom scattering factors, no anomalous dispersion.

Structural model:
```
data_Cd3NiPt
_chemical_formula_sum 'Cd3 Ni1 Pt1'
_space_group_name_H-M_alt 'P m -3 m'
_space_group_IT_number 221
_space_group_name_Hall '-P 4 2 3'
_cell_length_a 4.7946
_cell_length_b 4.7946
_cell_length_c 4.7946
_cell_angle_alpha 90.00
_cell_angle_beta 90.00
_cell_angle_gamma 90.00
loop_
_atom_site_label
_atom_site_fract_x
_atom_site_fract_y
_atom_site_fract_z
Cd1 0.0000 0.0000 0.5000
Ni1 0.0000 0.0000 0.0000
Pt1 0.5000 0.5000 0.5000
```

Most intense lines, 10° ≤ 2θ ≤ 90°, by intensity:
2theta, I (rel.)
32.3, 100
37.5, 82
54.1, 55
64.5, 40
26.3, 23
67.7, 18
89.0, 17
46.4, 10
80.1, 9
74.0, 5
61.1, 5
86.0, 3

---

Which formula does entry 1 have?
La5PrZn